The following is a calculated PXRD pattern of Cs2ZrBi2. It was derived from a cell relaxed with PBE, using Cu Kα, 1.54184 Å.
Peak positions follow from Bragg's law for the DFT cell and can differ from measured ones.

Largest 10 diffraction maxima, low angle first, 10 to 80 degrees two-theta:
- 2θ = 11.84°, intensity 41
- 2θ = 22.17°, intensity 47
- 2θ = 23.70°, intensity 65
- 2θ = 24.81°, intensity 100
- 2θ = 27.33°, intensity 62
- 2θ = 29.45°, intensity 62
- 2θ = 30.74°, intensity 32
- 2θ = 31.89°, intensity 39
- 2θ = 32.68°, intensity 72
- 2θ = 48.19°, intensity 36

Crystal structure
a b c (Å): 9.812 9.812 9.812
angles (deg): 128.98 70.35 135.01
Positions (direct):
1 Cs 0.150 0.158 0.308
2 Cs 0.350 0.658 0.008
3 Cs 0.650 0.342 0.992
4 Cs 0.850 0.842 0.692
5 Zr 0.250 0.750 0.500
6 Zr 0.750 0.250 0.500
7 Bi 0.101 0.681 0.782
8 Bi 0.399 0.181 0.580
9 Bi 0.601 0.819 0.420
10 Bi 0.899 0.319 0.218